(1)
The following is a computed powder X-ray diffraction pattern of SrScCoHg2. It was derived from DFT lattice parameters and positions (PBE), using a wavelength of 1.5418 Å.
Intensities are scaled so that the largest is 100.

Largest 10 diffraction maxima, by angle, 2θ from 10° to 90°:
14.42°, rel. 78; 26.14°, rel. 100; 29.08°, rel. 39; 30.86°, rel. 67; 34.22°, rel. 42; 42.91°, rel. 54; 44.21°, rel. 30; 49.78°, rel. 22; 52.08°, rel. 31; 53.78°, rel. 28

Lattice parameters (Å, degrees): 5.795 5.795 6.142 90.00 90.00 90.00
Fractional coordinates of all 5 atoms:
Sr 0.000 0.000 0.000
Sc 0.000 0.000 0.500
Co 0.500 0.500 0.500
Hg 0.000 0.500 0.000
Hg 0.500 0.000 0.000

=====

(2)
The following is a computed powder X-ray diffraction pattern of Na5Tl5Ga2. It was derived from DFT lattice parameters and positions (PBE), using a wavelength of 1.5418 Å.
Intensities are scaled so that the largest is 100.

Largest 10 diffraction maxima, by angle, 2θ from 10° to 90°:
21.34°, rel. 43; 22.31°, rel. 27; 24.74°, rel. 32; 26.15°, rel. 27; 34.09°, rel. 100; 34.54°, rel. 52; 47.95°, rel. 29; 49.31°, rel. 19; 61.02°, rel. 19; 61.31°, rel. 20

Lattice parameters (Å, degrees): 14.028 14.028 14.028 21.61 21.61 21.61
Fractional coordinates of all 12 atoms:
Na 0.000 0.000 0.000
Na 0.194 0.194 0.194
Na 0.275 0.275 0.275
Na 0.725 0.725 0.725
Na 0.806 0.806 0.806
Tl 0.103 0.103 0.103
Tl 0.355 0.355 0.355
Tl 0.500 0.500 0.500
Tl 0.645 0.645 0.645
Tl 0.897 0.897 0.897
Ga 0.425 0.425 0.425
Ga 0.575 0.575 0.575

=====

(3)
The following is a computed powder X-ray diffraction pattern of BaNdAs2Pd2. It was derived from DFT lattice parameters and positions (PBE), using a wavelength of 1.5418 Å.
Intensities are scaled so that the largest is 100.

Largest 10 diffraction maxima, by angle, 2θ from 10° to 90°:
10.14°, rel. 6; 31.22°, rel. 100; 41.15°, rel. 48; 41.39°, rel. 12; 52.54°, rel. 23; 59.79°, rel. 25; 68.82°, rel. 24; 69.17°, rel. 7; 75.00°, rel. 8; 89.48°, rel. 8

Lattice parameters (Å, degrees): 4.387 4.387 8.726 90.00 90.00 120.00
Fractional coordinates of all 6 atoms:
Ba 0.000 0.000 0.000
Nd 0.000 0.000 0.500
As 0.333 0.667 0.277
As 0.667 0.333 0.723
Pd 0.333 0.667 0.725
Pd 0.667 0.333 0.275